# 1
Structure and theoretical powder diffraction line list of LaPr5Tm2Th (a cell relaxed with PBE; Cu Kα (weighted mean of Kα1 and Kα2)).
Peak positions follow from Bragg's law for the DFT cell and can differ from measured ones.

Peak list (8 most intense, 2θ = 10–90°, by angle)
| Position (°2θ) | I_rel |
| --- | --- |
| 27.4 | 21 |
| 29.8 | 47 |
| 31.1 | 45 |
| 31.6 | 100 |
| 41.9 | 14 |
| 55.6 | 22 |
| 58.2 | 14 |
| 60.4 | 14 |

Crystal structure
```
LaPr5Tm2Th
1.0
2.878 -10.242 0.000
2.878 10.242 0.000
0.000 0.000 10.676
La Pr Tm Th
2 10 4 2
Cartesian
2.878 8.482 5.338 La
2.878 -8.482 0.000 La
2.878 9.777 8.484 Pr
2.878 7.862 0.864 Pr
2.878 5.946 8.059 Pr
2.878 5.694 3.946 Pr
2.878 0.305 0.830 Pr
2.878 -0.305 6.169 Pr
2.878 -5.694 9.284 Pr
2.878 -5.946 2.721 Pr
2.878 -7.862 6.203 Pr
2.878 -9.777 3.145 Pr
2.878 2.379 3.952 Tm
2.878 2.288 8.459 Tm
2.878 -2.288 3.121 Tm
2.878 -2.379 9.290 Tm
2.878 4.046 0.720 Th
2.878 -4.046 6.058 Th
```

***

# 2
Structure and theoretical powder diffraction line list of La5PrY2Th (a cell relaxed with PBE; Cu Kα (weighted mean of Kα1 and Kα2)).
Peak positions follow from Bragg's law for the DFT cell and can differ from measured ones.

Peak list (8 most intense, 2θ = 10–90°, by angle)
| Position (°2θ) | I_rel |
| --- | --- |
| 26.1 | 13 |
| 30.1 | 21 |
| 30.8 | 100 |
| 32.3 | 51 |
| 33.6 | 28 |
| 47.2 | 22 |
| 56.6 | 18 |
| 59.6 | 11 |

Crystal structure
```
La5PrY2Th
1.0
2.776 -11.026 0.000
2.776 11.026 0.000
0.000 0.000 10.681
La Pr Y Th
10 2 4 2
Cartesian
0.000 0.000 0.000 La
0.000 0.000 5.340 La
2.776 8.241 8.011 La
2.776 6.091 0.623 La
2.776 6.091 4.717 La
2.776 0.079 2.670 La
2.776 -0.079 8.011 La
2.776 -6.091 5.964 La
2.776 -6.091 10.058 La
2.776 -8.241 2.670 La
2.776 8.793 2.670 Pr
2.776 -8.793 8.011 Pr
2.776 2.496 5.428 Y
2.776 2.496 10.593 Y
2.776 -2.496 0.087 Y
2.776 -2.496 5.253 Y
2.776 4.778 8.011 Th
2.776 -4.778 2.670 Th
```

***

# 3
Structure and theoretical powder diffraction line list of La2Pr2Y6Th (a cell relaxed with PBE; Cu Kα (weighted mean of Kα1 and Kα2)).
Peak positions follow from Bragg's law for the DFT cell and can differ from measured ones.

Peak list (8 most intense, 2θ = 10–90°, by angle)
| Position (°2θ) | I_rel |
| --- | --- |
| 30.4 | 29 |
| 30.5 | 40 |
| 30.9 | 41 |
| 31.7 | 100 |
| 33.9 | 19 |
| 43.8 | 21 |
| 55.4 | 26 |
| 61.2 | 17 |

Crystal structure
```
La2Pr2Y6Th
1.0
2.897 -6.130 0.000
2.897 6.130 0.000
0.000 0.000 10.585
La Pr Y Th
2 2 6 1
Cartesian
2.897 3.574 0.000 La
2.897 -3.574 0.000 La
2.897 4.521 5.293 Pr
2.897 -4.521 5.293 Pr
0.000 0.000 2.149 Y
0.000 0.000 8.436 Y
2.897 1.815 3.126 Y
2.897 1.815 7.459 Y
2.897 -1.815 3.126 Y
2.897 -1.815 7.459 Y
2.897 0.000 0.000 Th
```

***

# 4
Structure and theoretical powder diffraction line list of La2Pr3Y6Th (a cell relaxed with PBE; Cu Kα (weighted mean of Kα1 and Kα2)).
Peak positions follow from Bragg's law for the DFT cell and can differ from measured ones.

Peak list (8 most intense, 2θ = 10–90°, by angle)
| Position (°2θ) | I_rel |
| --- | --- |
| 30.0 | 100 |
| 30.6 | 32 |
| 35.0 | 66 |
| 49.9 | 24 |
| 50.6 | 23 |
| 59.4 | 14 |
| 59.7 | 28 |
| 60.3 | 14 |

Crystal structure
```
La2Pr3Y6Th
1.0
3.164 -5.479 0.000
3.164 5.479 0.000
-2.111 0.000 11.695
La Pr Y Th
2 3 6 1
Cartesian
3.164 3.652 0.000 La
3.164 -3.652 0.000 La
-1.056 0.000 5.848 Pr
2.109 1.829 5.848 Pr
2.109 -1.829 5.848 Pr
0.013 1.800 8.796 Y
1.086 0.000 2.898 Y
0.013 -1.800 8.796 Y
4.205 1.800 2.900 Y
3.132 0.000 8.797 Y
4.205 -1.800 2.900 Y
3.164 0.000 0.000 Th
```